This entry pairs a crystal structure of CaEuTiSnO6 with its simulated X-ray diffraction stick pattern. Radiation: Cu Kα (λ = 1.5418 Å). Structure: a crystal structure in Alexandria, relaxed with PBE.
Lines closer than 0.1° are merged.

Top 10 peaks for 2θ from 10° to 90°, most intense first:
hkl 2 2 0, 2θ = 31.63°, 2.829 Å, intensity 100
hkl 4 2 2, 2θ = 56.34°, 1.633 Å, intensity 39
hkl 4 0 0, 2θ = 45.34°, 2.000 Å, intensity 35
hkl 1 1 1, 2θ = 19.21°, 4.619 Å, intensity 33
hkl 3 1 1, 2θ = 37.28°, 2.412 Å, intensity 21
hkl 4 4 0, 2θ = 66.06°, 1.414 Å, intensity 21
hkl 6 2 0, 2θ = 75.09°, 1.265 Å, intensity 17
hkl 3 3 1, 2θ = 49.67°, 1.835 Å, intensity 10
hkl 5 3 1, 2θ = 69.51°, 1.352 Å, intensity 7
hkl 3 3 3, 2θ = 60.09°, 1.540 Å, intensity 7

Structure:
```
data_CaEuTiSnO6
_chemical_formula_sum 'Ca4 Eu4 Ti4 Sn4 O24'
_symmetry_space_group_name_H-M 'F -4 3 m'
_symmetry_Int_Tables_number 216
_symmetry_space_group_name_Hall 'F -4 2 3'
_cell_length_a 8.001
_cell_length_b 8.001
_cell_length_c 8.001
_cell_angle_alpha 90.00
_cell_angle_beta 90.00
_cell_angle_gamma 90.00
loop_
_atom_site_label
_atom_site_fract_x
_atom_site_fract_y
_atom_site_fract_z
Ca1 0.000 0.000 0.000
Eu1 0.000 0.000 0.500
Ti1 0.250 0.250 0.750
Sn1 0.250 0.250 0.250
O1 0.005 0.250 0.750
```